The following is a calculated X-ray diffraction stick pattern of Zr4Os2N. It was derived from a structure optimized by DFT (GGA-PBE), using CuKα.
No peak broadening, texture or thermal motion is included.

Cell and atoms:
a = 12.4546 Å, b = 12.4546 Å, c = 12.4546 Å
α = 90.00°, β = 90.00°, γ = 90.00°
Space group Fd-3m (No. 227, origin choice 2)
Inequivalent atoms, fractional coordinates:
1 Zr 0.0000 0.0000 0.0000 (multiplicity 16)
2 Zr 0.0601 0.3750 0.8750 (multiplicity 48)
3 Os 0.0385 0.0385 0.2115 (multiplicity 32)
4 N 0.0000 0.0000 0.5000 (multiplicity 16)

Peak list (10 most intense, 2θ from 15° to 90°, in order of rising 2θ)
24.76°, intensity 12, (2 2 2)
35.30°, intensity 21, (4 2 2)
37.52°, intensity 100, (3 3 3)
40.99°, intensity 20, (4 4 0)
43.60°, intensity 18, (4 4 2)
52.47°, intensity 8, (7 1 1)
63.37°, intensity 29, (6 6 0)
64.83°, intensity 7, (5 5 5)
69.13°, intensity 12, (8 4 2)
76.03°, intensity 21, (9 3 3)